Theoretical PXRD pattern of Al2Hg2Cl7 for Cu Kα (weighted mean of Kα1 and Kα2), from DFT lattice parameters and positions (GGA-PBE).
Kinematic intensities with the Lorentz-polarization factor, no thermal factor.

Top 12 peaks for 5° ≤ 2θ ≤ 70°, low angle first:
h k l  2theta  d_spacing  I (rel.)
1 1 0  11.08  7.987  100.0
0 0 2  12.38  7.151  19.2
1 1 1  12.79  6.924  27.4
1 1 -2  16.50  5.373  45.8
1 1 2  16.78  5.283  34.4
0 2 2  18.51  4.794  12.4
2 2 1  23.22  3.831  21.0
2 2 -3  28.92  3.087  18.1
2 2 3  29.42  3.036  32.1
3 3 1  34.37  2.610  27.0
4 2 -1  38.45  2.341  23.4
1 3 5  39.01  2.309  13.6

Atomic structure:
```
data_Al2Hg2Cl7
_space_group_name_H-M_alt 'C 1 2/c 1'
_space_group_IT_number 15
_space_group_name_Hall '-C 2yc'
_cell_length_a 10.164
_cell_length_b 12.922
_cell_length_c 14.305
_cell_angle_alpha 90.00
_cell_angle_beta 91.24
_cell_angle_gamma 90.00
loop_
_atom_site_label
_atom_site_type_symbol
_atom_site_fract_x
_atom_site_fract_y
_atom_site_fract_z
Al1 Al 0.189 0.198 0.258
Hg1 Hg 0.081 0.411 0.005
Cl1 Cl 0.000 0.101 0.250
Cl2 Cl 0.155 0.331 0.341
Cl3 Cl 0.172 0.409 0.687
Cl4 Cl 0.231 0.236 0.114
```

---

Theoretical PXRD pattern of AlSnHgCl6 for Cu Kα (weighted mean of Kα1 and Kα2), from DFT lattice parameters and positions (GGA-PBE).
Kinematic intensities with the Lorentz-polarization factor, no thermal factor.

Top 12 peaks for 5° ≤ 2θ ≤ 70°, low angle first:
h k l  2theta  d_spacing  I (rel.)
1 0 1  18.33  4.841  100.0
0 0 2  18.65  4.758  14.8
1 0 2  24.51  3.632  14.5
1 1 0  27.47  3.247  13.2
1 1 1  29.06  3.073  12.5
1 0 3  32.41  2.763  21.6
2 0 1  33.23  2.696  19.4
2 -1 2  33.41  2.682  44.7
2 0 3  42.99  2.104  13.4
3 -1 1  43.64  2.074  21.9
1 1 4  47.38  1.919  19.1
3 -1 3  51.78  1.766  13.3

Atomic structure:
```
data_AlSnHgCl6
_space_group_name_H-M_alt 'P 3 1 2'
_space_group_IT_number 149
_space_group_name_Hall 'P 3 2'
_cell_length_a 6.4930
_cell_length_b 6.4930
_cell_length_c 9.5158
_cell_angle_alpha 90.00
_cell_angle_beta 90.00
_cell_angle_gamma 120.00
loop_
_atom_site_label
_atom_site_type_symbol
_atom_site_fract_x
_atom_site_fract_y
_atom_site_fract_z
Al1 Al 0.0000 0.0000 0.0000
Sn1 Sn 0.6667 0.3333 0.0000
Hg1 Hg 0.3333 0.6667 0.5000
Cl1 Cl 0.2971 0.0117 0.1471
```